Structure and computed powder XRD pattern of Ti3Se2S2 (DFT lattice parameters and positions (PBE); Cu Kα X-rays).

Most intense lines, 2θ = 10–80°, by angle:
d/Å  intensity
6.078  26
2.622  19
2.557  100
2.473  45
2.341  17
1.852  15
1.792  29
1.767  16
1.763  31
1.438  15

Cell and atoms:
abc: 12.062 3.534 6.250
angles: 90.00 103.48 90.00
Space group C2/m (No. 12)
Asymmetric unit:
Ti: 0.000 0.000 0.000 [2 per cell]
Ti: 0.241 0.500 0.295 [4 per cell]
Se: 0.132 0.500 0.879 [4 per cell]
S: 0.117 0.000 0.371 [4 per cell]